# 1
# Ba5Sc3
Computed powder diffraction line list, copper Kα. Input: a cell relaxed with PBE.

Top 10 peaks for 10 to 80 degrees two-theta, by angle:
- 13.53°, rel. 15
- 21.46°, rel. 10
- 27.23°, rel. 48
- 28.88°, rel. 100
- 38.89°, rel. 14
- 41.33°, rel. 11
- 43.59°, rel. 10
- 49.11°, rel. 17
- 49.20°, rel. 15
- 52.15°, rel. 15

Unit cell a=13.083 b=13.116 c=4.154 alpha=90.00 beta=90.00 gamma=90.00
Element x y z (fractional)
Ba: 0.000 0.000 0.000
Ba: 0.215 0.500 0.500
Ba: 0.250 0.250 0.000
Ba: 0.250 0.750 0.000
Ba: 0.285 0.000 0.500
Ba: 0.500 0.500 0.000
Ba: 0.715 0.000 0.500
Ba: 0.750 0.250 0.000
Ba: 0.750 0.750 0.000
Ba: 0.785 0.500 0.500
Sc: 0.000 0.304 0.500
Sc: 0.000 0.500 0.000
Sc: 0.000 0.696 0.500
Sc: 0.500 0.000 0.000
Sc: 0.500 0.196 0.500
Sc: 0.500 0.804 0.500

# 2
# La4SmSe7
Computed powder diffraction line list, copper Kα. Input: a cell relaxed with PBE.

Top 10 peaks for 10 to 80 degrees two-theta, by angle:
- 22.04°, rel. 76
- 22.44°, rel. 60
- 28.66°, rel. 74
- 29.04°, rel. 46
- 30.17°, rel. 100
- 31.26°, rel. 69
- 33.34°, rel. 50
- 38.63°, rel. 50
- 43.09°, rel. 43
- 43.27°, rel. 74

Unit cell a=7.355 b=7.355 c=12.569 alpha=104.56 beta=104.56 gamma=33.03
Element x y z (fractional)
La: 0.000 0.000 0.000
La: 0.190 0.190 0.766
La: 0.586 0.586 0.382
La: 0.887 0.887 0.573
Sm: 0.774 0.774 0.152
Se: 0.154 0.154 0.224
Se: 0.227 0.227 0.523
Se: 0.384 0.384 0.076
Se: 0.548 0.548 0.625
Se: 0.628 0.628 0.929
Se: 0.846 0.846 0.790
Se: 0.928 0.928 0.355

# 3
# PaAlH6Ru2
Computed powder diffraction line list, copper Kα. Input: a cell relaxed with PBE.

Top 10 peaks for 10 to 80 degrees two-theta, by angle:
- 24.08°, rel. 90
- 32.96°, rel. 100
- 37.37°, rel. 76
- 41.09°, rel. 80
- 53.65°, rel. 26
- 54.81°, rel. 16
- 56.75°, rel. 22
- 69.22°, rel. 28
- 69.74°, rel. 23
- 72.42°, rel. 22

Unit cell a=5.766 b=5.766 c=5.766 alpha=44.79 beta=44.79 gamma=44.79
Element x y z (fractional)
Pa: 0.000 0.000 0.000
Al: 0.500 0.500 0.500
H: 0.088 0.543 0.543
H: 0.457 0.457 0.912
H: 0.457 0.912 0.457
H: 0.543 0.088 0.543
H: 0.543 0.543 0.088
H: 0.912 0.457 0.457
Ru: 0.213 0.213 0.213
Ru: 0.787 0.787 0.787

# 4
# La2Bi5Pb
Computed powder diffraction line list, copper Kα. Input: a cell relaxed with PBE.

Top 10 peaks for 10 to 80 degrees two-theta, by angle:
- 30.90°, rel. 100
- 34.67°, rel. 18
- 34.91°, rel. 18
- 37.83°, rel. 15
- 50.03°, rel. 13
- 52.25°, rel. 12
- 59.81°, rel. 16
- 60.13°, rel. 16
- 64.05°, rel. 13
- 64.39°, rel. 13

Unit cell a=9.511 b=10.349 c=5.140 alpha=90.00 beta=90.00 gamma=90.00
Element x y z (fractional)
La: 0.000 0.241 0.000
La: 0.000 0.759 0.000
La: 0.500 0.259 0.000
La: 0.500 0.741 0.000
Bi: 0.000 0.000 0.500
Bi: 0.243 0.500 0.000
Bi: 0.250 0.250 0.500
Bi: 0.250 0.750 0.500
Bi: 0.257 0.000 0.000
Bi: 0.500 0.500 0.500
Bi: 0.743 0.000 0.000
Bi: 0.750 0.250 0.500
Bi: 0.750 0.750 0.500
Bi: 0.757 0.500 0.000
Pb: 0.000 0.500 0.500
Pb: 0.500 0.000 0.500

# 5
# LaNbPt
Computed powder diffraction line list, copper Kα. Input: a cell relaxed with PBE.

Top 10 peaks for 10 to 80 degrees two-theta, by angle:
- 16.68°, rel. 19
- 29.97°, rel. 8
- 35.19°, rel. 32
- 35.30°, rel. 32
- 35.55°, rel. 100
- 49.81°, rel. 10
- 50.71°, rel. 23
- 63.38°, rel. 19
- 63.52°, rel. 19
- 64.03°, rel. 11

Unit cell a=5.085 b=5.100 c=10.630 alpha=90.00 beta=90.00 gamma=90.00
Element x y z (fractional)
La: 0.000 0.000 0.170
La: 0.000 0.000 0.830
La: 0.500 0.500 0.170
La: 0.500 0.500 0.830
Nb: 0.000 0.500 0.386
Nb: 0.000 0.500 0.614
Nb: 0.500 0.000 0.386
Nb: 0.500 0.000 0.614
Pt: 0.000 0.000 0.500
Pt: 0.000 0.500 0.000
Pt: 0.500 0.000 0.000
Pt: 0.500 0.500 0.500

# 6
# Ba2DyAlS5
Computed powder diffraction line list, copper Kα. Input: a cell relaxed with PBE.

Top 10 peaks for 10 to 80 degrees two-theta, by angle:
- 16.66°, rel. 22
- 22.45°, rel. 16
- 22.57°, rel. 49
- 23.78°, rel. 16
- 26.41°, rel. 22
- 27.28°, rel. 21
- 30.19°, rel. 40
- 30.46°, rel. 100
- 35.83°, rel. 39
- 44.67°, rel. 18

Unit cell a=9.339 b=9.339 c=13.108 alpha=90.00 beta=90.00 gamma=154.91
Element x y z (fractional)
Ba: 0.119 0.881 0.500
Ba: 0.128 0.872 0.143
Ba: 0.872 0.128 0.643
Ba: 0.881 0.119 0.000
Dy: 0.204 0.796 0.844
Dy: 0.796 0.204 0.344
Al: 0.441 0.559 0.242
Al: 0.559 0.441 0.742
S: 0.044 0.956 0.834
S: 0.297 0.703 0.481
S: 0.319 0.681 0.197
S: 0.348 0.652 0.824
S: 0.500 0.500 0.095
S: 0.500 0.500 0.595
S: 0.652 0.348 0.324
S: 0.681 0.319 0.697
S: 0.703 0.297 0.981
S: 0.956 0.044 0.334

# 7
# Cs5PmO4
Computed powder diffraction line list, copper Kα. Input: a cell relaxed with PBE.

Top 10 peaks for 10 to 80 degrees two-theta, by angle:
- 25.33°, rel. 62
- 25.74°, rel. 97
- 27.16°, rel. 71
- 29.47°, rel. 100
- 37.48°, rel. 65
- 41.74°, rel. 23
- 47.29°, rel. 18
- 49.46°, rel. 19
- 51.69°, rel. 36
- 51.91°, rel. 38

Unit cell a=8.656 b=10.079 c=7.031 alpha=90.00 beta=90.00 gamma=90.00
Element x y z (fractional)
Cs: 0.011 0.064 0.245
Cs: 0.011 0.436 0.245
Cs: 0.250 0.750 0.321
Cs: 0.489 0.064 0.245
Cs: 0.489 0.436 0.245
Cs: 0.511 0.564 0.755
Cs: 0.511 0.936 0.755
Cs: 0.750 0.250 0.679
Cs: 0.989 0.564 0.755
Cs: 0.989 0.936 0.755
Pm: 0.250 0.250 0.720
Pm: 0.750 0.750 0.280
O: 0.030 0.250 0.891
O: 0.250 0.061 0.545
O: 0.250 0.439 0.545
O: 0.470 0.250 0.891
O: 0.530 0.750 0.109
O: 0.750 0.561 0.455
O: 0.750 0.939 0.455
O: 0.970 0.750 0.109

# 8
# Rb2CuMoSe4
Computed powder diffraction line list, copper Kα. Input: a cell relaxed with PBE.

Top 10 peaks for 10 to 80 degrees two-theta, by angle:
- 14.29°, rel. 78
- 24.89°, rel. 41
- 26.58°, rel. 100
- 28.83°, rel. 20
- 30.31°, rel. 60
- 38.23°, rel. 40
- 40.98°, rel. 20
- 43.78°, rel. 25
- 48.58°, rel. 23
- 49.69°, rel. 31

Unit cell a=14.309 b=12.712 c=7.718 alpha=85.20 beta=62.29 gamma=32.51
Element x y z (fractional)
Rb: 0.055 0.055 0.695
Rb: 0.305 0.305 0.945
Rb: 0.695 0.695 0.055
Rb: 0.945 0.945 0.305
Cu: 0.125 0.125 0.125
Cu: 0.875 0.875 0.875
Mo: 0.375 0.375 0.375
Mo: 0.625 0.625 0.625
Se: 0.021 0.340 0.423
Se: 0.284 0.577 0.660
Se: 0.340 0.021 0.716
Se: 0.423 0.716 0.021
Se: 0.577 0.284 0.979
Se: 0.660 0.979 0.284
Se: 0.716 0.423 0.340
Se: 0.979 0.660 0.577

# 9
# Na2CaPt
Computed powder diffraction line list, copper Kα. Input: a cell relaxed with PBE.

Top 10 peaks for 10 to 80 degrees two-theta, by angle:
- 15.41°, rel. 79
- 21.40°, rel. 52
- 24.07°, rel. 32
- 28.71°, rel. 21
- 30.95°, rel. 100
- 31.11°, rel. 35
- 38.22°, rel. 57
- 45.80°, rel. 46
- 50.07°, rel. 26
- 71.13°, rel. 30

Unit cell a=4.221 b=4.221 c=22.996 alpha=90.00 beta=90.00 gamma=90.00
Element x y z (fractional)
Na: 0.215 0.250 0.125
Na: 0.250 0.715 0.375
Na: 0.250 0.785 0.875
Na: 0.285 0.250 0.625
Na: 0.715 0.750 0.625
Na: 0.750 0.215 0.875
Na: 0.750 0.285 0.375
Na: 0.785 0.750 0.125
Ca: 0.000 0.000 0.500
Ca: 0.000 0.500 0.750
Ca: 0.500 0.000 0.250
Ca: 0.500 0.500 0.000
Pt: 0.000 0.000 0.000
Pt: 0.000 0.500 0.250
Pt: 0.500 0.000 0.750
Pt: 0.500 0.500 0.500

# 10
# Os2Ru5W
Computed powder diffraction line list, copper Kα. Input: a cell relaxed with PBE.

Top 10 peaks for 10 to 80 degrees two-theta, by angle:
- 18.64°, rel. 4
- 21.28°, rel. 3
- 27.77°, rel. 5
- 32.60°, rel. 2
- 37.81°, rel. 25
- 41.49°, rel. 25
- 43.34°, rel. 100
- 57.38°, rel. 15
- 68.27°, rel. 17
- 76.97°, rel. 18

Unit cell a=6.451 b=5.497 c=5.147 alpha=74.53 beta=55.21 gamma=50.26
Element x y z (fractional)
Os: 0.250 0.750 0.250
Os: 0.750 0.250 0.750
Ru: 0.166 0.166 0.834
Ru: 0.168 0.669 0.832
Ru: 0.248 0.248 0.252
Ru: 0.669 0.168 0.331
Ru: 0.748 0.748 0.752
W: 0.667 0.667 0.333

# 11
# Te8PtRh3
Computed powder diffraction line list, copper Kα. Input: a cell relaxed with PBE.

Top 10 peaks for 10 to 80 degrees two-theta, by angle:
- 16.47°, rel. 19
- 30.64°, rel. 100
- 42.50°, rel. 41
- 45.23°, rel. 38
- 48.45°, rel. 7
- 55.62°, rel. 18
- 57.84°, rel. 16
- 63.78°, rel. 10
- 74.38°, rel. 8
- 74.43°, rel. 8

Unit cell a=6.706 b=6.718 c=8.018 alpha=107.43 beta=107.33 gamma=106.64
Element x y z (fractional)
Te: 0.035 0.287 0.331
Te: 0.040 0.292 0.833
Te: 0.457 0.205 0.162
Te: 0.457 0.205 0.669
Te: 0.543 0.795 0.331
Te: 0.543 0.795 0.838
Te: 0.960 0.708 0.167
Te: 0.965 0.713 0.669
Pt: 0.500 0.500 0.500
Rh: 0.000 0.000 0.000
Rh: 0.000 0.000 0.500
Rh: 0.500 0.500 0.000

# 12
# InAg5Te4Cl2
Computed powder diffraction line list, copper Kα. Input: a cell relaxed with PBE.

Top 10 peaks for 10 to 80 degrees two-theta, by angle:
- 24.77°, rel. 87
- 26.47°, rel. 100
- 37.61°, rel. 96
- 42.23°, rel. 21
- 43.77°, rel. 58
- 44.13°, rel. 24
- 46.27°, rel. 32
- 51.26°, rel. 21
- 65.86°, rel. 22
- 68.92°, rel. 22

Unit cell a=8.208 b=7.224 c=7.224 alpha=125.43 beta=90.00 gamma=90.00
Element x y z (fractional)
In: 0.000 0.000 0.000
Ag: 0.248 0.294 0.659
Ag: 0.248 0.659 0.294
Ag: 0.500 0.948 0.948
Ag: 0.752 0.294 0.659
Ag: 0.752 0.659 0.294
Te: 0.000 0.592 0.979
Te: 0.000 0.979 0.592
Te: 0.273 0.259 0.259
Te: 0.727 0.259 0.259
Cl: 0.500 0.563 0.915
Cl: 0.500 0.915 0.563

# 13
# V4GeAs3
Computed powder diffraction line list, copper Kα. Input: a cell relaxed with PBE.

Top 10 peaks for 10 to 80 degrees two-theta, by angle:
- 23.16°, rel. 38
- 24.52°, rel. 100
- 36.77°, rel. 60
- 41.53°, rel. 81
- 43.95°, rel. 48
- 44.70°, rel. 38
- 47.34°, rel. 11
- 56.66°, rel. 62
- 58.61°, rel. 28
- 79.15°, rel. 11

Unit cell a=4.888 b=8.238 c=7.681 alpha=90.00 beta=90.00 gamma=90.00
Element x y z (fractional)
V: 0.250 0.003 0.163
V: 0.250 0.250 0.662
V: 0.250 0.497 0.163
V: 0.250 0.750 0.673
V: 0.750 0.250 0.327
V: 0.750 0.503 0.837
V: 0.750 0.750 0.338
V: 0.750 0.997 0.837
Ge: 0.250 0.750 0.346
Ge: 0.750 0.250 0.654
As: 0.250 0.006 0.841
As: 0.250 0.250 0.343
As: 0.250 0.494 0.841
As: 0.750 0.506 0.159
As: 0.750 0.750 0.657
As: 0.750 0.994 0.159